Record 1
Diffraction record for Mo2IrRh9. The powder diffractogram is computed, not measured: it uses the PBE geometry in Alexandria and a wavelength of 1.5418 Å.

Top 10 peaks for 5° ≤ 2θ ≤ 70°, most intense first:
2.234 Å, 2θ = 40.4°, rel. 100
1.933 Å, 2θ = 47.0°, rel. 64
2.228 Å, 2θ = 40.5°, rel. 33
1.368 Å, 2θ = 68.6°, rel. 20
1.366 Å, 2θ = 68.7°, rel. 13
1.364 Å, 2θ = 68.8°, rel. 7
6.043 Å, 2θ = 14.7°, rel. 3
3.916 Å, 2θ = 22.7°, rel. 1
4.465 Å, 2θ = 19.9°, rel. 1
3.501 Å, 2θ = 25.4°, rel. 1

Structure:
```
data_Mo2IrRh9
_symmetry_space_group_name_H-M 'P -1'
_symmetry_Int_Tables_number 2
_symmetry_space_group_name_Hall '-P 1'
_cell_length_a 4.7309
_cell_length_b 6.1122
_cell_length_c 6.1152
_cell_angle_alpha 84.33
_cell_angle_beta 82.77
_cell_angle_gamma 82.73
loop_
_atom_site_label
_atom_site_fract_x
_atom_site_fract_y
_atom_site_fract_z
Mo1 0.2499 0.0924 0.4083
Ir1 0.5000 0.0000 0.0000
Rh1 0.0000 0.5000 0.5000
Rh2 0.0011 0.8328 0.1729
Rh3 0.2497 0.4148 0.0836
Rh4 0.2512 0.7589 0.7413
Rh5 0.4969 0.3251 0.6686
```

***

Record 2
Diffraction record for DyVB2. The powder diffractogram is computed, not measured: it uses the PBE geometry in Alexandria and a wavelength of 1.5418 Å.

Top 10 peaks for 5° ≤ 2θ ≤ 70°, most intense first:
2.852 Å, 2θ = 31.4°, rel. 100
2.368 Å, 2θ = 38.0°, rel. 76
3.027 Å, 2θ = 29.5°, rel. 39
1.786 Å, 2θ = 51.1°, rel. 33
4.908 Å, 2θ = 18.1°, rel. 30
1.444 Å, 2θ = 64.5°, rel. 27
2.454 Å, 2θ = 36.6°, rel. 25
1.582 Å, 2θ = 58.3°, rel. 19
2.133 Å, 2θ = 42.4°, rel. 18
1.514 Å, 2θ = 61.2°, rel. 15

Structure:
```
data_DyVB2
_symmetry_space_group_name_H-M 'R -3 m'
_symmetry_Int_Tables_number 166
_symmetry_space_group_name_Hall '-R 3 2"'
_cell_length_a 3.5717
_cell_length_b 3.5717
_cell_length_c 14.7235
_cell_angle_alpha 90.00
_cell_angle_beta 90.00
_cell_angle_gamma 120.00
loop_
_atom_site_label
_atom_site_fract_x
_atom_site_fract_y
_atom_site_fract_z
Dy1 0.0000 0.0000 0.0000
V1 0.0000 0.0000 0.5000
B1 0.0000 0.0000 0.2147
```

***

Record 3
Diffraction record for NdSm2Os. The powder diffractogram is computed, not measured: it uses the PBE geometry in Alexandria and a wavelength of 1.5418 Å.

Top 10 peaks for 5° ≤ 2θ ≤ 70°, most intense first:
2.751 Å, 2θ = 32.6°, rel. 100
2.767 Å, 2θ = 32.4°, rel. 61
2.412 Å, 2θ = 37.3°, rel. 59
2.961 Å, 2θ = 30.2°, rel. 49
6.153 Å, 2θ = 14.4°, rel. 40
2.879 Å, 2θ = 31.1°, rel. 39
2.022 Å, 2θ = 44.8°, rel. 29
2.565 Å, 2θ = 35.0°, rel. 26
1.632 Å, 2θ = 56.4°, rel. 25
1.876 Å, 2θ = 48.5°, rel. 24

Structure:
```
data_NdSm2Os
_symmetry_space_group_name_H-M 'C m c m'
_symmetry_Int_Tables_number 63
_symmetry_space_group_name_Hall '-C 2c 2'
_cell_length_a 4.0433
_cell_length_b 12.3054
_cell_length_c 9.2950
_cell_angle_alpha 90.00
_cell_angle_beta 90.00
_cell_angle_gamma 90.00
loop_
_atom_site_label
_atom_site_fract_x
_atom_site_fract_y
_atom_site_fract_z
Nd1 0.0000 0.0772 0.2500
Sm1 0.0000 0.3546 0.0690
Os1 0.0000 0.2559 0.7500
```

***

Record 4
Diffraction record for PrGe2Pt2. The powder diffractogram is computed, not measured: it uses the PBE geometry in Alexandria and a wavelength of 1.5418 Å.

Top 10 peaks for 5° ≤ 2θ ≤ 70°, most intense first:
2.651 Å, 2θ = 33.8°, rel. 100
2.208 Å, 2θ = 40.9°, rel. 81
2.666 Å, 2θ = 33.6°, rel. 65
1.956 Å, 2θ = 46.4°, rel. 38
1.700 Å, 2θ = 53.9°, rel. 34
2.981 Å, 2θ = 30.0°, rel. 33
1.561 Å, 2θ = 59.2°, rel. 27
1.345 Å, 2θ = 69.9°, rel. 24
1.827 Å, 2θ = 49.9°, rel. 22
1.408 Å, 2θ = 66.4°, rel. 19

Structure:
```
data_PrGe2Pt2
_symmetry_space_group_name_H-M 'P 1 21/m 1'
_symmetry_Int_Tables_number 11
_symmetry_space_group_name_Hall '-P 2yb'
_cell_length_a 4.4157
_cell_length_b 4.4153
_cell_length_c 10.0339
_cell_angle_alpha 90.00
_cell_angle_beta 90.05
_cell_angle_gamma 90.00
loop_
_atom_site_label
_atom_site_fract_x
_atom_site_fract_y
_atom_site_fract_z
Pr1 0.2502 0.2500 0.2482
Ge1 0.2482 0.2500 0.6290
Ge2 0.2501 0.7500 0.0000
Pt1 0.2496 0.2500 0.8757
Pt2 0.2521 0.7500 0.5000
```

***

Record 5
Diffraction record for AcAlTl. The powder diffractogram is computed, not measured: it uses the PBE geometry in Alexandria and a wavelength of 1.5418 Å.

Top 10 peaks for 5° ≤ 2θ ≤ 70°, most intense first:
3.441 Å, 2θ = 25.9°, rel. 100
2.362 Å, 2θ = 38.1°, rel. 52
3.978 Å, 2θ = 22.3°, rel. 33
2.184 Å, 2θ = 41.3°, rel. 19
2.650 Å, 2θ = 33.8°, rel. 19
2.387 Å, 2θ = 37.7°, rel. 17
2.612 Å, 2θ = 34.3°, rel. 17
2.935 Å, 2θ = 30.5°, rel. 16
1.611 Å, 2θ = 57.2°, rel. 15
1.627 Å, 2θ = 56.6°, rel. 12

Structure:
```
data_AcAlTl
_symmetry_space_group_name_H-M 'C m c m'
_symmetry_Int_Tables_number 63
_symmetry_space_group_name_Hall '-C 2c 2'
_cell_length_a 4.7734
_cell_length_b 15.9136
_cell_length_c 5.2243
_cell_angle_alpha 90.00
_cell_angle_beta 90.00
_cell_angle_gamma 90.00
loop_
_atom_site_label
_atom_site_fract_x
_atom_site_fract_y
_atom_site_fract_z
Ac1 0.0000 0.1312 0.2500
Al1 0.0000 0.5000 0.0000
Tl1 0.0000 0.3403 0.2500
```

***

Record 6
Diffraction record for MgUO4. The powder diffractogram is computed, not measured: it uses the PBE geometry in Alexandria and a wavelength of 1.5418 Å.

Top 10 peaks for 5° ≤ 2θ ≤ 70°, most intense first:
4.714 Å, 2θ = 18.8°, rel. 100
2.803 Å, 2θ = 31.9°, rel. 73
3.355 Å, 2θ = 26.6°, rel. 37
3.312 Å, 2θ = 26.9°, rel. 36
2.417 Å, 2θ = 37.2°, rel. 31
1.811 Å, 2θ = 50.4°, rel. 28
1.797 Å, 2θ = 50.8°, rel. 27
3.485 Å, 2θ = 25.6°, rel. 24
1.952 Å, 2θ = 46.5°, rel. 20
2.357 Å, 2θ = 38.2°, rel. 17

Structure:
```
data_MgUO4
_symmetry_space_group_name_H-M 'I m m a'
_symmetry_Int_Tables_number 74
_symmetry_space_group_name_Hall '-I 2b 2'
_cell_length_a 6.6239
_cell_length_b 6.9708
_cell_length_c 6.7102
_cell_angle_alpha 90.00
_cell_angle_beta 90.00
_cell_angle_gamma 90.00
loop_
_atom_site_label
_atom_site_fract_x
_atom_site_fract_y
_atom_site_fract_z
Mg1 0.0000 0.0000 0.0000
U1 0.0000 0.2500 0.4946
O1 0.0000 0.0041 0.6915
O2 0.2026 0.2500 0.0056
```